Diffraction record for BaEuInBiO6. The X-ray powder pattern is theoretical, not measured: it uses the GGA-PBE geometry in the Materials Project and Cu Kα.
No peak broadening, texture or thermal motion is included.

Crystal structure
Unit cell a=6.039 b=6.039 c=6.039 alpha=60.00 beta=60.00 gamma=60.00
Atoms (fractional coordinates):
Ba 0.000 0.000 0.000
Eu 0.500 0.500 0.500
In 0.250 0.250 0.250
Bi 0.750 0.750 0.750
O 0.501 0.501 0.999
O 0.501 0.999 0.501
O 0.501 0.999 0.999
O 0.999 0.501 0.501
O 0.999 0.501 0.999
O 0.999 0.999 0.501

Main lines, low angle first (2θ from 10° to 80°):
2θ (°)  Rel. int.
29.6  100
42.3  28
52.5  41
61.4  18
69.6  18
77.4  6